Entry 1:
Structure and calculated PXRD pattern of Ca6MnP5 (a DFT-relaxed cell (PBE, Alexandria); Cu Kα (λ = 1.5418 Å)).
Kinematic intensities with the Lorentz-polarization factor, no thermal factor.

Principal peaks in the range 15 to 90 degrees two-theta, low angle first:
18.9 deg, rel. 66.3
28.7 deg, rel. 19.4
31.2 deg, rel. 100.0
35.4 deg, rel. 45.3
40.2 deg, rel. 30.9
40.4 deg, rel. 16.9
43.7 deg, rel. 53.1
50.8 deg, rel. 13.5
54.7 deg, rel. 16.7
69.2 deg, rel. 23.3

Atomic structure:
Cell: 7.1701 7.1701 14.3831 Å, 90.00 90.00 120.00°
Space group P6_3/mcm (No. 193)
Unique sites:
Ca 0.0000 0.3737 0.1191 x12
Mn 0.0000 0.0000 0.2500 x2
P 0.0000 0.3038 0.7500 x6
P 0.3333 0.6667 0.0000 x4


Entry 2:
Structure and calculated PXRD pattern of MgHgW2 (a DFT-relaxed cell (PBE, Alexandria); Cu Kα (λ = 1.5418 Å)).
Kinematic intensities with the Lorentz-polarization factor, no thermal factor.

Principal peaks in the range 15 to 90 degrees two-theta, low angle first:
18.8 deg, rel. 15.5
38.0 deg, rel. 26.8
38.2 deg, rel. 23.8
38.6 deg, rel. 100.0
54.9 deg, rel. 16.8
56.5 deg, rel. 8.6
69.0 deg, rel. 18.5
69.3 deg, rel. 14.7
70.1 deg, rel. 9.1
82.7 deg, rel. 10.6

Atomic structure:
Cell: 3.258 4.739 9.433 Å, 90.00 90.00 90.00°
Space group Cmm2 (No. 35)
Unique sites:
Mg 0.000 0.000 0.000 x2
Hg 0.000 0.500 0.264 x2
W 0.000 0.000 0.533 x2
W 0.000 0.500 0.751 x2


What did the first record say?
Structure and calculated PXRD pattern of Ca6MnP5 (a DFT-relaxed cell (PBE, Alexandria); Cu Kα (λ = 1.5418 Å)).
Kinematic intensities with the Lorentz-polarization factor, no thermal factor.

Principal peaks in the range 15 to 90 degrees two-theta, low angle first:
18.9 deg, rel. 66.3
28.7 deg, rel. 19.4
31.2 deg, rel. 100.0
35.4 deg, rel. 45.3
40.2 deg, rel. 30.9
40.4 deg, rel. 16.9
43.7 deg, rel. 53.1
50.8 deg, rel. 13.5
54.7 deg, rel. 16.7
69.2 deg, rel. 23.3

Atomic structure:
Cell: 7.1701 7.1701 14.3831 Å, 90.00 90.00 120.00°
Space group P6_3/mcm (No. 193)
Unique sites:
Ca 0.0000 0.3737 0.1191 x12
Mn 0.0000 0.0000 0.2500 x2
P 0.0000 0.3038 0.7500 x6
P 0.3333 0.6667 0.0000 x4